(1)
Diffraction record for Pr3PO6. The X-ray powder pattern is theoretical, not measured: it uses DFT lattice parameters and positions (PBE) and Cu Ka.

Main lines, by angle (10° ≤ 2θ ≤ 90°):
d [Å], I_rel
4.698, 29
3.115, 100
3.097, 26
3.087, 33
2.968, 17
2.143, 28
2.115, 21
1.849, 19
1.792, 17
1.606, 14

Cell and atoms:
Unit cell a=9.2101 b=11.5806 c=6.1947 alpha=90.00 beta=90.00 gamma=90.00
Space group Cmc2_1 (No. 36)
One atom of each set of equivalent atoms:
Pr 0.0000 0.0951 0.0000 x4
Pr 0.1979 0.3892 0.9662 x8
P 0.0000 0.3289 0.4021 x4
O 0.0000 0.2781 0.8848 x4
O 0.0000 0.4458 0.2456 x4
O 0.1389 0.2547 0.3072 x8
O 0.1636 0.0095 0.7350 x8

(2)
Diffraction record for KBa. The X-ray powder pattern is theoretical, not measured: it uses DFT lattice parameters and positions (PBE) and Cu Ka.

Main lines, by angle (10° ≤ 2θ ≤ 90°):
d [Å], I_rel
5.426, 25
3.754, 97
3.689, 100
3.619, 26
3.487, 37
3.399, 38
2.886, 24
2.434, 27
2.199, 33
1.878, 20

Cell and atoms:
Unit cell a=4.4713 b=6.7980 c=9.1684 alpha=90.00 beta=100.79 gamma=90.00
Space group P2_1/m (No. 11)
One atom of each set of equivalent atoms:
K 0.1997 0.2500 0.1233 x2
Ba 0.2811 0.2500 0.6150 x2

(3)
Diffraction record for PuSeBr3. The X-ray powder pattern is theoretical, not measured: it uses DFT lattice parameters and positions (PBE) and Cu Ka.

Main lines, by angle (10° ≤ 2θ ≤ 90°):
d [Å], I_rel
7.371, 100
6.561, 32
5.211, 19
2.880, 11
2.796, 24
2.525, 15
2.426, 12
2.240, 13
2.209, 17
2.003, 14

Cell and atoms:
Unit cell a=7.4390 b=7.3617 c=14.5932 alpha=90.00 beta=97.42 gamma=90.00
Space group P2/c (No. 13)
One atom of each set of equivalent atoms:
Pu 0.0833 0.1038 0.1356 x4
Se 0.1471 0.3771 0.2868 x4
Br 0.1324 0.2174 0.5310 x4
Br 0.2298 0.0808 0.8016 x4
Br 0.3814 0.2619 0.0856 x4